[1]
# Th3Tl2Fe
Computed PXRD pattern, Cu Kα X-rays. Input: a DFT-relaxed cell (GGA-PBE, Alexandria).
Lines closer than 0.1° are merged.

Cell lengths 5.020, 7.550, 9.057 Å; angles 90.00, 105.99, 90.00 degrees
Space group P2/m (No. 10)
One atom of each set of equivalent atoms:
1 Th 0.000 0.227 0.000 [2 per cell]
2 Th 0.363 0.000 0.726 [2 per cell]
3 Th 0.396 0.500 0.792 [2 per cell]
4 Tl 0.197 0.277 0.394 [4 per cell]
5 Fe 0.500 0.200 0.000 [2 per cell]

Main lines, low angle first (15 to 90 degrees two-theta):
index	Position (°2θ)	I_rel
1 2 0	30.1	100
1 0 2	31.3	92
0 2 2	31.4	69
1 2 -2	33.5	44
2 0 -1	35.8	54
0 4 0	48.2	17
2 2 1	48.3	48
0 0 5	52.6	17
1 4 2	58.6	26
2 4 -1	61.5	30


[2]
# Th6Tl3Fe
Computed PXRD pattern, Cu Kα X-rays. Input: a DFT-relaxed cell (GGA-PBE, Alexandria).
Lines closer than 0.1° are merged.

Cell lengths 9.655, 5.507, 10.974 Å; angles 90.00, 99.23, 90.00 degrees
Space group P2_1/m (No. 11)
One atom of each set of equivalent atoms:
1 Th 0.063 0.250 0.413 [2 per cell]
2 Th 0.197 0.750 0.177 [2 per cell]
3 Th 0.304 0.750 0.821 [2 per cell]
4 Th 0.356 0.250 0.996 [2 per cell]
5 Th 0.388 0.250 0.334 [2 per cell]
6 Th 0.429 0.250 0.648 [2 per cell]
7 Tl 0.010 0.250 0.099 [2 per cell]
8 Tl 0.113 0.250 0.727 [2 per cell]
9 Tl 0.273 0.750 0.493 [2 per cell]
10 Fe 0.428 0.750 0.114 [2 per cell]

Main lines, low angle first (15 to 90 degrees two-theta):
index	Position (°2θ)	I_rel
2 0 -3	28.5	17
1 1 3	32.3	96
0 2 0	32.5	100
3 1 0	32.5	48
2 1 -3	32.9	25
2 0 -4	35.4	15
5 1 -4	57.0	15
1 3 3	57.9	19
3 3 0	58.0	18
4 2 3	60.1	15


[3]
# Th2TlZnFe
Computed PXRD pattern, Cu Kα X-rays. Input: a DFT-relaxed cell (GGA-PBE, Alexandria).
Lines closer than 0.1° are merged.

Cell lengths 7.586, 4.006, 8.778 Å; angles 90.00, 114.11, 90.00 degrees
Space group P2_1/m (No. 11)
One atom of each set of equivalent atoms:
1 Th 0.032 0.250 0.190 [2 per cell]
2 Th 0.440 0.750 0.142 [2 per cell]
3 Tl 0.335 0.750 0.511 [2 per cell]
4 Zn 0.115 0.250 0.610 [2 per cell]
5 Fe 0.223 0.250 0.944 [2 per cell]

Main lines, low angle first (15 to 90 degrees two-theta):
index	Position (°2θ)	I_rel
2 0 -2	26.3	35
1 0 2	30.0	20
1 1 1	30.1	78
1 1 -2	30.4	100
2 0 -3	32.9	23
0 0 3	33.6	37
2 1 0	34.2	64
3 0 -2	36.1	20
3 1 -1	42.5	29
0 2 0	45.3	36


[4]
# ThUFe3
Computed PXRD pattern, Cu Kα X-rays. Input: a DFT-relaxed cell (GGA-PBE, Alexandria).
Lines closer than 0.1° are merged.

Cell lengths 7.530, 5.837, 8.671 Å; angles 90.00, 112.43, 90.00 degrees
Space group P2_1/c (No. 14)
One atom of each set of equivalent atoms:
1 Th 0.094 0.098 0.209 [4 per cell]
2 U 0.393 0.711 0.072 [4 per cell]
3 Fe 0.123 0.616 0.094 [4 per cell]
4 Fe 0.340 0.211 0.560 [4 per cell]
5 Fe 0.382 0.008 0.855 [4 per cell]

Main lines, low angle first (15 to 90 degrees two-theta):
index	Position (°2θ)	I_rel
1 1 -2	26.0	86
2 1 -1	28.2	53
1 0 2	29.7	100
2 1 0	29.9	50
0 2 1	32.7	50
1 2 0	33.3	29
3 0 -2	36.6	39
1 2 1	36.8	37
2 0 -4	42.6	28
0 1 4	48.0	34


[5]
# Th3U2Fe4
Computed PXRD pattern, Cu Kα X-rays. Input: a DFT-relaxed cell (GGA-PBE, Alexandria).
Lines closer than 0.1° are merged.

Cell lengths 10.964, 3.991, 8.593 Å; angles 90.00, 103.34, 90.00 degrees
Space group C2/m (No. 12)
One atom of each set of equivalent atoms:
1 Th 0.000 0.000 0.000 [2 per cell]
2 Th 0.128 0.500 0.388 [4 per cell]
3 U 0.178 0.500 0.780 [4 per cell]
4 Fe 0.084 0.000 0.659 [4 per cell]
5 Fe 0.226 0.500 0.090 [4 per cell]

Main lines, low angle first (15 to 90 degrees two-theta):
index	Position (°2θ)	I_rel
1 1 -1	25.3	34
2 0 2	30.0	45
1 1 -2	30.8	60
2 0 -3	32.6	65
4 0 -1	32.8	44
3 1 0	33.8	100
1 1 3	42.0	52
0 2 0	45.5	37
2 2 -3	57.1	27
3 1 -5	60.1	27


[6]
# Th3U2Fe6
Computed PXRD pattern, Cu Kα X-rays. Input: a DFT-relaxed cell (GGA-PBE, Alexandria).
Lines closer than 0.1° are merged.

Cell lengths 9.207, 9.207, 9.207 Å; angles 90.00, 90.00, 90.00 degrees
Space group Im-3m (No. 229)
One atom of each set of equivalent atoms:
1 Th 0.000 0.000 0.284 [12 per cell]
2 U 0.250 0.250 0.250 [8 per cell]
3 Fe 0.000 0.344 0.344 [24 per cell]

Main lines, low angle first (15 to 90 degrees two-theta):
index	Position (°2θ)	I_rel
2 1 1	23.7	31
3 1 0	30.7	33
2 2 2	33.7	100
3 2 1	36.5	19
4 0 0	39.1	49
3 3 0	41.6	63
4 2 0	44.0	21
5 2 1	54.6	25
4 4 0	56.5	26
6 2 2	67.5	40


[7]
# YTh4Fe4
Computed PXRD pattern, Cu Kα X-rays. Input: a DFT-relaxed cell (GGA-PBE, Alexandria).
Lines closer than 0.1° are merged.

Cell lengths 8.551, 8.551, 5.493 Å; angles 90.00, 90.00, 90.00 degrees
Space group P4_2/n (No. 86, origin choice 2)
One atom of each set of equivalent atoms:
1 Y 0.250 0.250 0.250 [2 per cell]
2 Th 0.054 0.665 0.185 [8 per cell]
3 Fe 0.039 0.612 0.662 [8 per cell]

Main lines, low angle first (15 to 90 degrees two-theta):
index	Position (°2θ)	I_rel
2 1 1	28.4	100
0 0 2	32.6	23
1 3 0	33.1	93
1 0 2	34.3	29
1 2 2	40.4	16
1 3 2	47.2	31
4 2 0	47.6	32
2 3 2	50.9	17
5 0 1	56.3	38
4 2 2	58.8	15


[8]
# ThZn8Fe4
Computed PXRD pattern, Cu Kα X-rays. Input: a DFT-relaxed cell (GGA-PBE, Alexandria).
Lines closer than 0.1° are merged.

Cell lengths 8.840, 8.840, 4.984 Å; angles 90.00, 90.00, 90.00 degrees
Space group I4/mmm (No. 139)
One atom of each set of equivalent atoms:
1 Th 0.000 0.000 0.000 [2 per cell]
2 Zn 0.000 0.230 0.500 [8 per cell]
3 Zn 0.000 0.345 0.000 [8 per cell]
4 Fe 0.250 0.250 0.250 [8 per cell]

Main lines, low angle first (15 to 90 degrees two-theta):
index	Position (°2θ)	I_rel
2 1 1	28.8	45
3 1 0	32.0	24
3 0 1	35.4	52
0 0 2	36.0	22
4 0 0	40.8	59
3 2 1	41.0	100
2 0 2	41.6	58
2 2 2	46.6	20
3 2 3	68.2	22
6 3 1	74.5	27